# 1
Simulated PXRD pattern
Compound: YTm4Hg5
Radiation: Cu Kα, 1.54184 Å
Structure: a DFT-relaxed cell (PBE, OQMD)
No peak broadening, texture or thermal motion is included.

Peak list (8 most intense, 10 to 90 degrees two-theta, by intensity)
two_theta, I_rel
34.53, 100
61.91, 25
61.80, 12
49.69, 12
83.25, 11
72.78, 8
49.52, 6
82.98, 5

Structure:
Cell: 3.6696 3.6696 18.4058 Å, 90.00 90.00 90.00°
Element x y z (fractional)
Y 0.0000 0.0000 0.0000
Tm 0.0000 0.0000 0.2021
Tm 0.0000 0.0000 0.4008
Tm 0.0000 0.0000 0.5992
Tm 0.0000 0.0000 0.7979
Hg 0.5000 0.5000 0.1038
Hg 0.5000 0.5000 0.3013
Hg 0.5000 0.5000 0.5000
Hg 0.5000 0.5000 0.6987
Hg 0.5000 0.5000 0.8962



# 2
Simulated PXRD pattern
Compound: GaTcNO
Radiation: Cu Kα, 1.54184 Å
Structure: a DFT-relaxed cell (PBE, OQMD)
No peak broadening, texture or thermal motion is included.

Peak list (8 most intense, 10 to 90 degrees two-theta, by intensity)
two_theta, I_rel
33.54, 100
34.61, 92
35.68, 54
49.77, 53
58.23, 52
38.13, 40
73.31, 20
62.34, 14

Structure:
Cell: 2.9789 6.0464 5.0330 Å, 90.00 90.00 90.00°
Element x y z (fractional)
Ga 0.0000 0.1154 0.0000
Ga 0.0000 0.8846 0.5000
Tc 0.5000 0.4168 0.5609
Tc 0.5000 0.5832 0.0609
N 0.0000 0.1803 0.6336
N 0.0000 0.8197 0.1336
O 0.5000 0.2511 0.1680
O 0.5000 0.7489 0.6680